# 1
Starting from a crystal structure in the Materials Project, relaxed with PBE, the powder diffraction line list of LuCd was computed for Cu Ka.
Neutral-atom scattering factors, no anomalous dispersion.

Top 8 peaks for 2θ from 10° to 80°, sorted by position:
| 2θ (°) | Rel. int. |
| --- | --- |
| 24.22 | 5 |
| 34.51 | 100 |
| 42.61 | 2 |
| 49.61 | 18 |
| 55.94 | 2 |
| 61.83 | 36 |
| 72.78 | 11 |
| 77.99 | 1 |

Crystal structure
```
2
Lattice="3.675 0.000 0.000 0.000 3.675 0.000 0.000 0.000 3.675" Properties=species:S:1:pos:R:3 pbc="T T T"
Lu 0.000 0.000 0.000
Cd 1.838 1.838 1.838
```

=====

# 2
Starting from a crystal structure in the Materials Project, relaxed with PBE, the powder diffraction line list of TmNiPb was computed for Cu Ka.
Neutral-atom scattering factors, no anomalous dispersion.

Top 8 peaks for 2θ from 10° to 80°, sorted by position:
| 2θ (°) | Rel. int. |
| --- | --- |
| 26.31 | 35 |
| 32.70 | 76 |
| 33.64 | 36 |
| 34.34 | 100 |
| 39.33 | 62 |
| 39.68 | 38 |
| 41.14 | 49 |
| 64.33 | 37 |

Crystal structure
```
12
Lattice="7.103 0.000 0.000 0.000 4.388 0.000 0.000 0.000 8.057" Properties=species:S:1:pos:R:3 pbc="T T T"
Tm 0.089 1.097 1.515
Tm 3.462 3.291 5.544
Tm 3.641 1.097 2.513
Tm 7.013 3.291 6.542
Ni 1.659 3.291 3.184
Ni 1.893 1.097 7.213
Ni 5.210 3.291 0.844
Ni 5.444 1.097 4.873
Pb 1.231 1.097 4.632
Pb 2.321 3.291 0.604
Pb 4.782 1.097 7.453
Pb 5.872 3.291 3.425
```

=====

# 3
Starting from a crystal structure in the Materials Project, relaxed with PBE, the powder diffraction line list of LaAu3 was computed for Cu Ka.
Neutral-atom scattering factors, no anomalous dispersion.

Top 7 peaks for 2θ from 10° to 80°, sorted by position:
| 2θ (°) | Rel. int. |
| --- | --- |
| 21.52 | 1 |
| 24.90 | 1 |
| 35.50 | 100 |
| 41.89 | 1 |
| 51.08 | 18 |
| 63.74 | 37 |
| 75.13 | 12 |

Crystal structure
```
16
Lattice="7.153 0.000 0.000 0.000 7.153 0.000 0.000 0.000 7.153" Properties=species:S:1:pos:R:3 pbc="T T T"
La 0.000 0.000 0.000
La 0.000 3.576 3.576
La 3.576 0.000 3.576
La 3.576 3.576 0.000
Au 0.000 0.000 3.576
Au 0.000 3.576 0.000
Au 1.788 1.788 1.788
Au 1.788 1.788 5.365
Au 1.788 5.365 1.788
Au 1.788 5.365 5.365
Au 3.576 0.000 0.000
Au 3.576 3.576 3.576
Au 5.365 1.788 1.788
Au 5.365 1.788 5.365
Au 5.365 5.365 1.788
Au 5.365 5.365 5.365
```

=====

# 4
Starting from a crystal structure in the Materials Project, relaxed with PBE, the powder diffraction line list of NaCa2Si3HO9 was computed for Cu Ka.
Neutral-atom scattering factors, no anomalous dispersion.

Top 8 peaks for 2θ from 10° to 80°, sorted by position:
| 2θ (°) | Rel. int. |
| --- | --- |
| 26.60 | 42 |
| 26.97 | 33 |
| 27.97 | 28 |
| 28.61 | 78 |
| 30.39 | 100 |
| 30.50 | 93 |
| 41.29 | 31 |
| 51.57 | 43 |

Crystal structure
```
32
Lattice="7.090 0.000 0.000 -0.056 7.116 0.000 -1.738 -0.749 7.861" Properties=species:S:1:pos:R:3 pbc="T T T"
Na 0.952 0.801 3.527
Na 4.345 5.566 4.334
Ca -0.850 3.930 6.712
Ca 2.665 2.426 1.209
Ca 2.632 3.941 6.652
Ca 6.146 2.437 1.149
Si -0.660 0.581 6.148
Si 0.846 4.247 3.533
Si 2.781 5.848 1.680
Si 2.516 0.519 6.181
Si 4.451 2.119 4.328
Si 5.956 5.785 1.713
H 0.689 0.094 1.308
H 4.608 6.272 6.553
O -1.427 6.224 6.395
O -0.502 5.187 3.131
O -0.843 1.623 7.371
O 0.844 2.919 2.593
O 0.865 3.983 5.126
O 0.915 0.268 5.795
O 2.119 0.160 1.420
O 2.661 4.773 0.463
O 2.173 5.198 3.102
O 3.124 1.168 4.759
O 2.636 1.593 7.398
O 3.177 6.207 6.441
O 4.382 6.099 2.067
O 4.432 2.384 2.735
O 4.452 3.447 5.268
O 6.140 4.744 0.490
O 5.798 1.180 4.730
O 6.724 0.143 1.466
```

=====

# 5
Starting from a crystal structure in the Materials Project, relaxed with PBE, the powder diffraction line list of ThBRh3 was computed for Cu Ka.
Neutral-atom scattering factors, no anomalous dispersion.

Top 8 peaks for 2θ from 10° to 80°, sorted by position:
| 2θ (°) | Rel. int. |
| --- | --- |
| 20.72 | 12 |
| 29.47 | 14 |
| 36.31 | 100 |
| 42.17 | 52 |
| 47.43 | 6 |
| 61.16 | 35 |
| 73.25 | 39 |
| 77.09 | 12 |

Crystal structure
```
5
Lattice="4.286 0.000 0.000 0.000 4.286 0.000 0.000 0.000 4.286" Properties=species:S:1:pos:R:3 pbc="T T T"
Th 0.000 0.000 0.000
B 2.143 2.143 2.143
Rh 0.000 2.143 2.143
Rh 2.143 0.000 2.143
Rh 2.143 2.143 0.000
```

=====

# 6
Starting from a crystal structure in the Materials Project, relaxed with PBE, the powder diffraction line list of Tb7Co6Sn23 was computed for Cu Ka.
Neutral-atom scattering factors, no anomalous dispersion.

Top 8 peaks for 2θ from 10° to 80°, sorted by position:
| 2θ (°) | Rel. int. |
| --- | --- |
| 21.54 | 27 |
| 31.08 | 100 |
| 31.42 | 51 |
| 32.51 | 35 |
| 34.53 | 81 |
| 36.96 | 33 |
| 52.99 | 36 |
| 56.89 | 16 |

Crystal structure
```
36
Lattice="8.972 -5.189 0.000 8.972 5.189 0.000 -0.003 0.000 10.464" Properties=species:S:1:pos:R:3 pbc="T T T"
Tb 0.000 0.000 0.000
Tb 4.743 2.178 7.279
Tb 8.465 0.000 7.290
Tb 4.743 -2.178 7.279
Tb 13.198 2.178 3.185
Tb 9.475 0.000 3.174
Tb 13.198 -2.178 3.185
Co 7.163 2.094 8.907
Co 3.631 0.000 8.874
Co 10.778 2.094 1.557
Co 7.163 -2.094 8.907
Co 14.310 0.000 1.589
Co 10.778 -2.094 1.557
Sn -0.001 0.000 5.232
Sn 3.128 1.795 10.448
Sn 2.084 0.000 7.111
Sn 7.943 3.365 7.105
Sn 6.915 1.612 4.713
Sn 4.137 0.000 4.745
Sn 9.998 3.365 3.359
Sn 5.964 0.000 2.168
Sn 6.007 0.000 9.642
Sn 3.128 -1.795 10.448
Sn 8.972 1.565 0.000
Sn 11.026 1.612 5.751
Sn 6.915 -1.612 4.713
Sn 8.972 -1.565 0.000
Sn 14.813 1.795 0.015
Sn 11.934 0.000 0.822
Sn 11.976 0.000 8.295
Sn 7.943 -3.365 7.105
Sn 13.803 0.000 5.718
Sn 11.026 -1.612 5.751
Sn 9.998 -3.365 3.359
Sn 15.856 0.000 3.353
Sn 14.813 -1.795 0.015
```

=====

# 7
Starting from a crystal structure in the Materials Project, relaxed with PBE, the powder diffraction line list of MnPSe3 was computed for Cu Ka.
Neutral-atom scattering factors, no anomalous dispersion.

Top 8 peaks for 2θ from 10° to 80°, sorted by position:
| 2θ (°) | Rel. int. |
| --- | --- |
| 11.80 | 43 |
| 23.73 | 23 |
| 30.32 | 100 |
| 36.89 | 38 |
| 46.04 | 28 |
| 49.22 | 29 |
| 55.35 | 13 |
| 58.91 | 14 |

Crystal structure
```
10
Lattice="3.206 1.851 7.498 -3.206 1.851 7.498 0.000 -3.702 7.498" Properties=species:S:1:pos:R:3 pbc="T T T"
Mn 0.000 0.000 3.756
Mn 0.000 0.000 18.739
P 0.000 0.000 10.128
P 0.000 0.000 12.367
Se -2.141 0.005 9.538
Se -1.075 -1.852 12.956
Se 1.066 -1.857 9.538
Se -1.066 1.857 12.956
Se 1.075 1.852 9.538
Se 2.141 -0.005 12.956
```

=====

Please write out number 7 again, unchanged.
Starting from a crystal structure in the Materials Project, relaxed with PBE, the powder diffraction line list of MnPSe3 was computed for Cu Ka.
Neutral-atom scattering factors, no anomalous dispersion.

Top 8 peaks for 2θ from 10° to 80°, sorted by position:
| 2θ (°) | Rel. int. |
| --- | --- |
| 11.80 | 43 |
| 23.73 | 23 |
| 30.32 | 100 |
| 36.89 | 38 |
| 46.04 | 28 |
| 49.22 | 29 |
| 55.35 | 13 |
| 58.91 | 14 |

Crystal structure
```
10
Lattice="3.206 1.851 7.498 -3.206 1.851 7.498 0.000 -3.702 7.498" Properties=species:S:1:pos:R:3 pbc="T T T"
Mn 0.000 0.000 3.756
Mn 0.000 0.000 18.739
P 0.000 0.000 10.128
P 0.000 0.000 12.367
Se -2.141 0.005 9.538
Se -1.075 -1.852 12.956
Se 1.066 -1.857 9.538
Se -1.066 1.857 12.956
Se 1.075 1.852 9.538
Se 2.141 -0.005 12.956
```